Starting from a crystal structure in Alexandria, relaxed with PBE, the XRD peak list of BaLa3 was computed for λ = 1.5418 Å (Cu Kα).
Peak positions follow from Bragg's law for the DFT cell and can differ from measured ones.

Structure:
```
data_BaLa3
_chemical_formula_sum 'Ba2 La6'
_space_group_name_H-M_alt 'C m m m'
_space_group_IT_number 65
_space_group_name_Hall '-C 2 2'
_cell_length_a 7.7046
_cell_length_b 11.0247
_cell_length_c 3.8118
_cell_angle_alpha 90.00
_cell_angle_beta 90.00
_cell_angle_gamma 90.00
loop_
_atom_site_label
_atom_site_fract_x
_atom_site_fract_y
_atom_site_fract_z
Ba1 0.0000 0.0000 0.0000
La1 0.0000 0.5000 0.0000
La2 0.2500 0.2500 0.5000
```

Peak list (10 most intense, 10 to 80 degrees two-theta, in order of rising 2θ)
two_theta	I (rel.)	(hkl)
28.3	100	2 2 0
28.5	98	0 2 1
32.5	35	0 4 0
33.1	66	2 0 1
47.0	49	2 4 1
55.4	15	2 6 0
56.0	29	4 2 1
56.4	29	2 2 2
76.1	18	6 2 0
78.7	16	6 0 1

=====

Starting from a crystal structure in Alexandria, relaxed with PBE, the XRD peak list of ZrMn5Ga was computed for λ = 1.5418 Å (Cu Kα).
Peak positions follow from Bragg's law for the DFT cell and can differ from measured ones.

Structure:
```
data_ZrMn5Ga
_chemical_formula_sum 'Zr4 Mn20 Ga4'
_space_group_name_H-M_alt 'P n m a'
_space_group_IT_number 62
_cell_length_a 7.9434
_cell_length_b 4.6911
_cell_length_c 10.0120
_cell_angle_alpha 90.00
_cell_angle_beta 90.00
_cell_angle_gamma 90.00
loop_
_space_group_symop_operation_xyz
'x,y,z'
'-x,-y,-z'
'-x+1/2,-y,z+1/2'
'x+1/2,y,-z+1/2'
'x+1/2,-y+1/2,-z+1/2'
'-x+1/2,y+1/2,z+1/2'
'-x,y+1/2,-z'
'x,-y+1/2,z'
loop_
_atom_site_label
_atom_site_fract_x
_atom_site_fract_y
_atom_site_fract_z
Zr1 0.2387 0.2500 0.0591
Mn1 0.0521 0.7500 0.1032
Mn2 0.0704 0.0189 0.3134
Mn3 0.0890 0.2500 0.5319
Mn4 0.1918 0.2500 0.7505
Ga1 0.1344 0.7500 0.8595
```

Peak list (10 most intense, 10 to 80 degrees two-theta, in order of rising 2θ)
two_theta	I (rel.)	(hkl)
37.7	29	1 0 4
38.4	28	0 2 0
40.2	100	3 1 1
43.2	12	3 1 2
45.8	21	2 2 1
46.6	14	4 0 1
46.8	14	1 0 5
47.1	23	2 1 4
48.8	25	1 2 3
70.6	14	3 3 1